This entry pairs a crystal structure of Pu4Te3Cl with its simulated powder XRD pattern. Radiation: Cu Kα (λ = 1.5418 Å). Structure: a cell relaxed with PBE.
Neutral-atom scattering factors, no anomalous dispersion.

Principal peaks in the range 2θ = 5–70°, by intensity:
29.2 deg, rel. 100; 41.5 deg, rel. 42; 42.0 deg, rel. 31; 25.1 deg, rel. 22; 51.5 deg, rel. 21; 68.2 deg, rel. 18; 60.5 deg, rel. 12; 68.9 deg, rel. 10; 36.7 deg, rel. 8; 63.2 deg, rel. 7

Crystal structure
```
Pu4Te3Cl
1.0
2.1775 1.2572 13.9721
-2.1775 1.2572 13.9721
0.0000 -2.5144 13.9721
Pu Te Cl
4 3 1
direct
0.1224 0.1224 0.1224
0.3679 0.3679 0.3679
0.6321 0.6321 0.6321
0.8776 0.8776 0.8776
0.2551 0.2551 0.2551
0.5000 0.5000 0.5000
0.7449 0.7449 0.7449
0.0000 0.0000 0.0000
```

=====

This entry pairs a crystal structure of PuTiCl6 with its simulated powder XRD pattern. Radiation: Cu Kα (λ = 1.5418 Å). Structure: a cell relaxed with PBE.
Neutral-atom scattering factors, no anomalous dispersion.

Principal peaks in the range 2θ = 5–70°, by intensity:
14.3 deg, rel. 100; 18.7 deg, rel. 91; 31.9 deg, rel. 59; 24.4 deg, rel. 36; 16.1 deg, rel. 33; 41.4 deg, rel. 29; 20.4 deg, rel. 25; 35.0 deg, rel. 25; 48.1 deg, rel. 20; 14.5 deg, rel. 19

Crystal structure
```
PuTiCl6
1.0
3.2045 -6.2067 0.0000
3.2045 6.2067 0.0000
-1.8411 0.0000 6.1109
Pu Ti Cl
1 1 6
direct
0.0000 0.0000 0.0000
0.5000 0.5000 0.5000
0.1386 0.4169 0.2733
0.2628 0.2628 0.7316
0.4169 0.1386 0.2733
0.5831 0.8614 0.7267
0.7372 0.7372 0.2684
0.8614 0.5831 0.7267
```